# 1
This entry pairs a crystal structure of Te4WO12 with its computed powder X-ray diffraction pattern. Radiation: copper Kα. Structure: a PBE+U-relaxed structure.
Intensities are scaled so that the largest is 100.

Structure:
```
data_Te4WO12
_chemical_formula_sum 'Te8 W2 O24'
_symmetry_space_group_name_H-M 'I 4/m m m'
_symmetry_Int_Tables_number 139
_symmetry_space_group_name_Hall '-I 4 2'
_cell_length_a 8.025
_cell_length_b 8.025
_cell_length_c 7.553
_cell_angle_alpha 90.00
_cell_angle_beta 90.00
_cell_angle_gamma 90.00
loop_
_atom_site_label
_atom_site_type_symbol
_atom_site_fract_x
_atom_site_fract_y
_atom_site_fract_z
_atom_site_occupancy
Te1 Te 0.250 0.250 0.250 1
W1 W 0.000 0.000 0.000 1
O1 O 0.000 0.222 0.172 1
O2 O 0.191 0.191 0.500 1
```

Largest 10 diffraction maxima, sorted by position, 2θ = 15–90°:
15.6°, d = 5.674 Å, intensity 36, (1 1 0)
16.1°, d = 5.500 Å, intensity 54, (1 0 1)
22.2°, d = 4.012 Å, intensity 46, (2 0 0)
23.6°, d = 3.776 Å, intensity 16, (0 0 2)
27.5°, d = 3.242 Å, intensity 24, (2 1 1)
31.5°, d = 2.837 Å, intensity 48, (2 2 0)
32.6°, d = 2.750 Å, intensity 100, (2 0 2)
45.2°, d = 2.006 Å, intensity 32, (4 0 0)
56.8°, d = 1.621 Å, intensity 48, (4 2 2)
58.7°, d = 1.572 Å, intensity 29, (2 2 4)

# 2
This entry pairs a crystal structure of Te3WO12 with its computed powder X-ray diffraction pattern. Radiation: copper Kα. Structure: a PBE+U-relaxed structure.
Intensities are scaled so that the largest is 100.

Structure:
```
data_Te3WO12
_chemical_formula_sum 'Te3 W1 O12'
_symmetry_space_group_name_H-M 'P -1'
_symmetry_Int_Tables_number 2
_symmetry_space_group_name_Hall '-P 1'
_cell_length_a 5.096
_cell_length_b 5.310
_cell_length_c 7.358
_cell_angle_alpha 86.72
_cell_angle_beta 89.96
_cell_angle_gamma 89.98
loop_
_atom_site_label
_atom_site_type_symbol
_atom_site_fract_x
_atom_site_fract_y
_atom_site_fract_z
_atom_site_occupancy
Te1 Te 0.000 0.000 0.000 1
Te2 Te 0.000 0.000 0.500 1
Te3 Te 0.500 0.500 0.000 1
W1 W 0.500 0.500 0.500 1
O1 O 0.130 0.000 0.750 1
O2 O 0.186 0.687 0.066 1
O3 O 0.192 0.308 0.445 1
O4 O 0.306 0.808 0.443 1
O5 O 0.314 0.186 0.067 1
O6 O 0.385 0.498 0.751 1
```

Largest 10 diffraction maxima, sorted by position, 2θ = 15–90°:
24.2°, d = 3.673 Å, intensity 100, (1 1 0)
33.8°, d = 2.651 Å, intensity 34, (1 1 2)
35.2°, d = 2.548 Å, intensity 23, (1 1 -2)
43.2°, d = 2.093 Å, intensity 15, (2 0 2)
49.6°, d = 1.837 Å, intensity 16, (2 2 0)
55.0°, d = 1.669 Å, intensity 25, (2 2 2)
56.9°, d = 1.617 Å, intensity 17, (2 2 -2)
62.3°, d = 1.490 Å, intensity 13, (2 0 4)
63.2°, d = 1.471 Å, intensity 9, (3 1 -2)
79.7°, d = 1.203 Å, intensity 8, (4 0 2)